No. 1
This entry pairs a crystal structure of Zr2Si3Ni4 with its theoretical XRD peak list. Radiation: λ = 1.5418 Å (Cu Kα). Structure: a crystal structure in Alexandria, relaxed with PBE.
Intensities are scaled so that the largest is 100.

Top 10 peaks for 10° ≤ 2θ ≤ 80°, sorted by position:
d 2.804, I 19; d 2.435, I 43; d 2.302, I 100; d 2.273, I 60; d 2.183, I 48; d 2.059, I 72; d 1.977, I 19; d 1.922, I 24; d 1.425, I 20; d 1.217, I 25

Cell and atoms:
Lattice parameters (Å, degrees): 7.4016 7.4016 6.8995 90.00 90.00 139.43
Fractional positions:
Zr: 0.1033 0.8967 0.8988
Zr: 0.3967 0.6033 0.3988
Zr: 0.6033 0.3967 0.6012
Zr: 0.8967 0.1033 0.1012
Si: 0.0000 0.0000 0.5000
Si: 0.0155 0.4845 0.7500
Si: 0.4845 0.0155 0.2500
Si: 0.5000 0.5000 0.0000
Si: 0.5155 0.9845 0.7500
Si: 0.9845 0.5155 0.2500
Ni: 0.1790 0.8210 0.5108
Ni: 0.1826 0.3174 0.7500
Ni: 0.3174 0.1826 0.2500
Ni: 0.3210 0.6790 0.0108
Ni: 0.6790 0.3210 0.9892
Ni: 0.6826 0.8174 0.7500
Ni: 0.8174 0.6826 0.2500
Ni: 0.8210 0.1790 0.4892

=====

No. 2
This entry pairs a crystal structure of Zr6MnCl14 with its theoretical XRD peak list. Radiation: λ = 1.5418 Å (Cu Kα). Structure: a crystal structure in Alexandria, relaxed with PBE.
Intensities are scaled so that the largest is 100.

Top 10 peaks for 10° ≤ 2θ ≤ 80°, sorted by position:
d 7.612, I 100; d 7.462, I 9; d 3.676, I 12; d 2.877, I 14; d 2.852, I 12; d 2.535, I 12; d 2.519, I 25; d 2.371, I 8; d 1.885, I 12; d 1.865, I 7

Cell and atoms:
Lattice parameters (Å, degrees): 9.9303 9.9303 11.9985 90.00 90.00 82.57
Fractional positions:
Zr: 0.0463 0.1948 0.8791
Zr: 0.1480 0.8520 0.8910
Zr: 0.1948 0.0463 0.1209
Zr: 0.3052 0.4537 0.6209
Zr: 0.3520 0.6480 0.3910
Zr: 0.4537 0.3052 0.3791
Zr: 0.5463 0.6948 0.6209
Zr: 0.6480 0.3520 0.6090
Zr: 0.6948 0.5463 0.3791
Zr: 0.8052 0.9537 0.8791
Zr: 0.8520 0.1480 0.1090
Zr: 0.9537 0.8052 0.1209
Mn: 0.0000 0.0000 0.0000
Mn: 0.5000 0.5000 0.5000
Cl: 0.0364 0.2044 0.2457
Cl: 0.0987 0.4013 0.7500
Cl: 0.1186 0.6396 0.0076
Cl: 0.1396 0.6186 0.5076
Cl: 0.1602 0.8398 0.2560
Cl: 0.2044 0.0364 0.7543
Cl: 0.2458 0.2458 0.0000
Cl: 0.2542 0.2542 0.5000
Cl: 0.2956 0.4636 0.2543
Cl: 0.3398 0.6602 0.7560
Cl: 0.3604 0.8814 0.0076
Cl: 0.3814 0.8604 0.5076
Cl: 0.4013 0.0987 0.2500
Cl: 0.4636 0.2956 0.7457
Cl: 0.5364 0.7044 0.2543
Cl: 0.5987 0.9013 0.7500
Cl: 0.6186 0.1396 0.4924
Cl: 0.6396 0.1186 0.9924
Cl: 0.6602 0.3398 0.2440
Cl: 0.7044 0.5364 0.7457
Cl: 0.7458 0.7458 0.5000
Cl: 0.7542 0.7542 0.0000
Cl: 0.7956 0.9636 0.2457
Cl: 0.8398 0.1602 0.7440
Cl: 0.8604 0.3814 0.4924
Cl: 0.8814 0.3604 0.9924
Cl: 0.9013 0.5987 0.2500
Cl: 0.9636 0.7956 0.7543